1.
Computed XRD peak list
Compound: NdEr14Sc
Radiation: Cu Kα
Structure: a cell relaxed with PBE
No peak broadening, texture or thermal motion is included.

Peak list (10 most intense, 2θ from 10° to 90°, in order of rising 2θ)
29.3°, d 3.049, rel. 105
30.4°, d 2.944, rel. 368
31.6°, d 2.829, rel. 328
33.4°, d 2.684, rel. 1000
37.9°, d 2.371, rel. 202
52.0°, d 1.760, rel. 246
57.5°, d 1.604, rel. 212
62.1°, d 1.494, rel. 287
63.2°, d 1.472, rel. 160
88.7°, d 1.103, rel. 136

```
data_NdEr14Sc
_cell_length_a 11.316
_cell_length_b 7.036
_cell_length_c 12.203
_cell_angle_alpha 90.00
_cell_angle_beta 90.00
_cell_angle_gamma 90.00
_space_group_name_H-M_alt 'A m m 2'
_space_group_IT_number 38
_space_group_name_Hall 'A 2 -2'
loop_
_atom_site_label
_atom_site_fract_x
_atom_site_fract_y
_atom_site_fract_z
Nd1 0.000 0.000 0.000
Er1 0.000 0.249 0.751
Er2 0.247 0.000 0.335
Er3 0.249 0.248 0.584
Er4 0.253 0.000 0.834
Er5 0.500 0.000 0.167
Er6 0.500 0.000 0.667
Er7 0.500 0.249 0.418
Sc1 0.000 0.000 0.501
```

***

2.
Computed XRD peak list
Compound: KRb2Au2I6
Radiation: Cu Kα
Structure: a cell relaxed with PBE
No peak broadening, texture or thermal motion is included.

Peak list (10 most intense, 2θ from 10° to 90°, in order of rising 2θ)
13.0°, d 6.806, rel. 647
18.3°, d 4.843, rel. 665
20.2°, d 4.406, rel. 689
20.8°, d 4.276, rel. 396
21.4°, d 4.154, rel. 1000
25.9°, d 3.446, rel. 621
29.9°, d 2.986, rel. 446
30.3°, d 2.954, rel. 533
34.9°, d 2.574, rel. 393
44.1°, d 2.051, rel. 405

```
data_KRb2Au2I6
_cell_length_a 15.338
_cell_length_b 7.843
_cell_length_c 9.903
_cell_angle_alpha 90.00
_cell_angle_beta 117.14
_cell_angle_gamma 90.00
_space_group_name_H-M_alt 'C 1 2/m 1'
_space_group_IT_number 12
_space_group_name_Hall '-C 2y'
loop_
_atom_site_label
_atom_site_fract_x
_atom_site_fract_y
_atom_site_fract_z
K1 0.000 0.000 0.000
Rb1 0.215 0.000 0.714
Au1 0.047 0.500 0.745
I1 0.082 0.238 0.335
I2 0.241 0.500 0.881
```

***

3.
Computed XRD peak list
Compound: ErAlO3
Radiation: Cu Kα
Structure: a cell relaxed with PBE
No peak broadening, texture or thermal motion is included.

Peak list (10 most intense, 2θ from 10° to 90°, in order of rising 2θ)
18.5°, d 4.794, rel. 376
20.6°, d 4.318, rel. 738
31.8°, d 2.816, rel. 1000
34.3°, d 2.613, rel. 753
39.3°, d 2.295, rel. 489
40.3°, d 2.236, rel. 210
47.5°, d 1.915, rel. 382
55.0°, d 1.671, rel. 178
59.9°, d 1.545, rel. 363
61.5°, d 1.509, rel. 237

```
data_ErAlO3
_cell_length_a 5.2266
_cell_length_b 5.2266
_cell_length_c 14.3832
_cell_angle_alpha 90.00
_cell_angle_beta 90.00
_cell_angle_gamma 120.00
_space_group_name_H-M_alt 'R -3'
_space_group_IT_number 148
_space_group_name_Hall '-R 3'
loop_
_atom_site_label
_atom_site_fract_x
_atom_site_fract_y
_atom_site_fract_z
Er1 0.0000 0.0000 0.1329
Al1 0.0000 0.0000 0.3449
O1 0.0159 0.6247 0.9244
```

***

4.
Computed XRD peak list
Compound: Li2RhN
Radiation: Cu Kα
Structure: a cell relaxed with PBE
No peak broadening, texture or thermal motion is included.

Peak list (10 most intense, 2θ from 10° to 90°, in order of rising 2θ)
23.7°, d 3.755, rel. 219
26.8°, d 3.333, rel. 1000
36.0°, d 2.492, rel. 643
47.2°, d 1.924, rel. 254
53.5°, d 1.712, rel. 151
55.1°, d 1.666, rel. 121
56.2°, d 1.636, rel. 227
60.8°, d 1.523, rel. 145
70.0°, d 1.344, rel. 148
80.4°, d 1.194, rel. 130

```
data_Li2RhN
_cell_length_a 3.8481
_cell_length_b 3.8481
_cell_length_c 3.7549
_cell_angle_alpha 90.00
_cell_angle_beta 90.00
_cell_angle_gamma 120.00
_space_group_name_H-M_alt 'P 6/m m m'
_space_group_IT_number 191
_space_group_name_Hall '-P 6 2'
loop_
_atom_site_label
_atom_site_fract_x
_atom_site_fract_y
_atom_site_fract_z
Li1 0.3333 0.6667 0.0000
Rh1 0.0000 0.0000 0.5000
N1 0.0000 0.0000 0.0000
```

***

5.
Computed XRD peak list
Compound: Ca4MgNi
Radiation: Cu Kα
Structure: a cell relaxed with PBE
No peak broadening, texture or thermal motion is included.

Peak list (10 most intense, 2θ from 10° to 90°, in order of rising 2θ)
16.5°, d 5.375, rel. 98
27.1°, d 3.292, rel. 277
31.9°, d 2.807, rel. 1000
33.3°, d 2.688, rel. 386
47.9°, d 1.900, rel. 110
51.0°, d 1.792, rel. 323
55.9°, d 1.646, rel. 263
65.8°, d 1.420, rel. 105
66.6°, d 1.404, rel. 128
79.0°, d 1.212, rel. 178

```
data_Ca4MgNi
_cell_length_a 9.310
_cell_length_b 9.310
_cell_length_c 9.310
_cell_angle_alpha 90.00
_cell_angle_beta 90.00
_cell_angle_gamma 90.00
_space_group_name_H-M_alt 'F -4 3 m'
_space_group_IT_number 216
_space_group_name_Hall 'F -4 2 3'
loop_
_atom_site_label
_atom_site_fract_x
_atom_site_fract_y
_atom_site_fract_z
Ca1 0.125 0.125 0.125
Mg1 0.250 0.250 0.750
Ni1 0.000 0.000 0.500
```

***

6.
Computed XRD peak list
Compound: CeNd2US8
Radiation: Cu Kα
Structure: a cell relaxed with PBE
No peak broadening, texture or thermal motion is included.

Peak list (10 most intense, 2θ from 10° to 90°, in order of rising 2θ)
19.8°, d 4.491, rel. 1000
21.6°, d 4.120, rel. 561
25.0°, d 3.569, rel. 506
25.2°, d 3.536, rel. 505
25.9°, d 3.436, rel. 205
26.1°, d 3.410, rel. 201
37.2°, d 2.415, rel. 340
37.4°, d 2.404, rel. 351
42.5°, d 2.128, rel. 236
47.2°, d 1.924, rel. 272

```
data_CeNd2US8
_cell_length_a 5.778
_cell_length_b 6.471
_cell_length_c 8.514
_cell_angle_alpha 90.53
_cell_angle_beta 90.41
_cell_angle_gamma 94.97
_space_group_name_H-M_alt 'P -1'
_space_group_IT_number 2
_space_group_name_Hall '-P 1'
loop_
_atom_site_label
_atom_site_fract_x
_atom_site_fract_y
_atom_site_fract_z
Ce1 0.000 0.000 0.000
Nd1 0.410 0.453 0.750
U1 0.000 0.000 0.500
S1 0.086 0.749 0.265
S2 0.140 0.797 0.733
S3 0.368 0.235 0.467
S4 0.382 0.250 0.030
```

***

7.
Computed XRD peak list
Compound: Ac5Pr2Pt4
Radiation: Cu Kα
Structure: a cell relaxed with PBE
No peak broadening, texture or thermal motion is included.

Peak list (10 most intense, 2θ from 10° to 90°, in order of rising 2θ)
27.1°, d 3.294, rel. 344
27.3°, d 3.271, rel. 1000
29.3°, d 3.046, rel. 454
30.3°, d 2.954, rel. 293
31.2°, d 2.865, rel. 875
31.7°, d 2.826, rel. 699
32.7°, d 2.740, rel. 406
33.0°, d 2.714, rel. 437
35.7°, d 2.517, rel. 379
42.7°, d 2.115, rel. 484

```
data_Ac5Pr2Pt4
_cell_length_a 18.318
_cell_length_b 4.231
_cell_length_c 10.647
_cell_angle_alpha 90.00
_cell_angle_beta 120.70
_cell_angle_gamma 90.00
_space_group_name_H-M_alt 'C 1 2/m 1'
_space_group_IT_number 12
_space_group_name_Hall '-C 2y'
loop_
_atom_site_label
_atom_site_fract_x
_atom_site_fract_y
_atom_site_fract_z
Ac1 0.000 0.000 0.000
Ac2 0.147 0.500 0.370
Ac3 0.249 0.000 0.163
Pr1 0.046 0.000 0.697
Pt1 0.108 0.500 0.926
Pt2 0.164 0.000 0.586
```

***

8.
Computed XRD peak list
Compound: ZrTaN2
Radiation: Cu Kα
Structure: a cell relaxed with PBE
No peak broadening, texture or thermal motion is included.

Peak list (10 most intense, 2θ from 10° to 90°, in order of rising 2θ)
14.3°, d 6.181, rel. 122
32.2°, d 2.784, rel. 268
33.5°, d 2.673, rel. 142
37.3°, d 2.409, rel. 1000
47.1°, d 1.928, rel. 236
59.9°, d 1.545, rel. 64
60.0°, d 1.542, rel. 128
60.8°, d 1.524, rel. 241
69.7°, d 1.349, rel. 122
72.7°, d 1.300, rel. 96

```
data_ZrTaN2
_cell_length_a 6.181
_cell_length_b 5.337
_cell_length_c 5.567
_cell_angle_alpha 90.00
_cell_angle_beta 90.00
_cell_angle_gamma 90.00
_space_group_name_H-M_alt 'P b c m'
_space_group_IT_number 57
_space_group_name_Hall '-P 2c 2b'
loop_
_atom_site_label
_atom_site_fract_x
_atom_site_fract_y
_atom_site_fract_z
Zr1 0.128 0.084 0.250
Ta1 0.378 0.585 0.250
N1 0.139 0.750 0.000
N2 0.387 0.250 0.000
```